Simulated X-ray diffraction stick pattern
Compound: Li3Fe2Si2O8
Radiation: Cu Ka
Structure: a cell relaxed with GGA+U

Main lines, in order of falling intensity (10° ≤ 2θ ≤ 90°):
two_theta, I_rel
23.56, 1000
33.56, 697
22.01, 620
32.09, 588
15.89, 561
34.97, 528
28.55, 471
21.48, 430
41.41, 316
48.20, 303

Atomic structure:
```
data_Li3Fe2Si2O8
_cell_length_a 5.132
_cell_length_b 10.678
_cell_length_c 6.543
_cell_angle_alpha 90.00
_cell_angle_beta 90.00
_cell_angle_gamma 90.00
_symmetry_space_group_name_H-M 'P 1 21 1'
_symmetry_Int_Tables_number 4
_symmetry_space_group_name_Hall 'P 2yb'
loop_
_atom_site_label
_atom_site_type_symbol
_atom_site_fract_x
_atom_site_fract_y
_atom_site_fract_z
Li1 Li 0.049 0.000 0.484
Li2 Li 0.064 0.227 0.251
Li3 Li 0.440 0.910 0.239
Fe1 Fe 0.073 0.233 0.766
Fe2 Fe 0.445 0.905 0.751
Si1 Si 0.055 0.482 0.995
Si2 Si 0.433 0.664 0.482
O1 O 0.016 0.129 0.011
O2 O 0.048 0.915 0.217
O3 O 0.074 0.912 0.796
O4 O 0.112 0.663 0.495
O5 O 0.372 0.455 0.015
O6 O 0.448 0.241 0.317
O7 O 0.460 0.015 0.512
O8 O 0.465 0.236 0.720
```